1.
Calculated PXRD pattern
Compound: MnCrTcGe
Radiation: Cu Kα, 1.54184 Å
Structure: DFT lattice parameters and positions (PBE)
Neutral-atom scattering factors, no anomalous dispersion.

Structural model:
Lattice parameters (Å, degrees): 4.8680 4.8680 4.8680 143.67 131.52 62.06
Sites, in units of the cell vectors:
Mn  0.0000  0.0000  0.0000
Cr  0.2438  0.7438  0.5000
Tc  0.7447  0.2447  0.5000
Ge  0.4896  0.4896  0.0000

Largest 10 diffraction maxima, sorted by position, 5° ≤ 2θ ≤ 70°:
2θ = 21.30°, d 4.171, intensity 1
2θ = 24.70°, d 3.605, intensity 6
2θ = 31.36°, d 2.852, intensity 4
2θ = 39.47°, d 2.283, intensity 3
2θ = 43.26°, d 2.091, intensity 100
2θ = 43.39°, d 2.086, intensity 25
2θ = 45.37°, d 1.999, intensity 22
2θ = 56.20°, d 1.637, intensity 2
2θ = 61.06°, d 1.518, intensity 9
2θ = 64.58°, d 1.443, intensity 14

---

2.
Calculated PXRD pattern
Compound: Sr2GeH
Radiation: Cu Kα, 1.54184 Å
Structure: DFT lattice parameters and positions (PBE)
Neutral-atom scattering factors, no anomalous dispersion.

Structural model:
Lattice parameters (Å, degrees): 6.4639 6.0998 12.1154 90.00 117.05 90.00
Sites, in units of the cell vectors:
Sr  0.0010  0.2381  0.0902
Sr  0.0010  0.7619  0.5902
Sr  0.3361  0.2379  0.8569
Sr  0.3361  0.7621  0.3569
Sr  0.6639  0.2379  0.6431
Sr  0.6639  0.7621  0.1431
Sr  0.9990  0.2381  0.4098
Sr  0.9990  0.7619  0.9098
Ge  0.4796  0.2660  0.3533
Ge  0.4796  0.7340  0.8533
Ge  0.5204  0.2660  0.1467
Ge  0.5204  0.7340  0.6467
H  0.0422  0.1828  0.6298
H  0.0422  0.8172  0.1298
H  0.9578  0.1828  0.8702
H  0.9578  0.8172  0.3702

Largest 10 diffraction maxima, sorted by position, 5° ≤ 2θ ≤ 70°:
2θ = 26.81°, d 3.325, intensity 76
2θ = 27.32°, d 3.265, intensity 43
2θ = 27.71°, d 3.219, intensity 28
2θ = 29.28°, d 3.050, intensity 100
2θ = 31.88°, d 2.807, intensity 77
2θ = 33.20°, d 2.698, intensity 63
2θ = 40.47°, d 2.229, intensity 29
2θ = 44.86°, d 2.021, intensity 39
2θ = 49.38°, d 1.846, intensity 24
2θ = 59.26°, d 1.559, intensity 24

---

3.
Calculated PXRD pattern
Compound: Pa3B9W2
Radiation: Cu Kα, 1.54184 Å
Structure: DFT lattice parameters and positions (PBE)
Neutral-atom scattering factors, no anomalous dispersion.

Structural model:
Lattice parameters (Å, degrees): 8.0497 8.0497 8.0497 157.78 118.40 66.33
Sites, in units of the cell vectors:
Pa  0.0000  0.0000  0.0000
Pa  0.2665  0.2665  0.0000
Pa  0.7335  0.7335  0.0000
B  0.0369  0.3588  0.6781
B  0.1270  0.8705  0.2565
B  0.3192  0.6412  0.6781
B  0.3860  0.1295  0.2565
B  0.5000  0.0000  0.5000
B  0.6140  0.8705  0.7435
B  0.6808  0.3588  0.3219
B  0.8730  0.1295  0.7435
B  0.9631  0.6412  0.3219
W  0.3230  0.5000  0.8230
W  0.6770  0.5000  0.1770

Largest 10 diffraction maxima, sorted by position, 5° ≤ 2θ ≤ 70°:
2θ = 25.33°, d 3.516, intensity 44
2θ = 26.45°, d 3.369, intensity 98
2θ = 30.80°, d 2.903, intensity 100
2θ = 33.28°, d 2.692, intensity 32
2θ = 36.87°, d 2.438, intensity 30
2θ = 38.40°, d 2.344, intensity 46
2θ = 41.04°, d 2.199, intensity 92
2θ = 41.62°, d 2.170, intensity 49
2θ = 46.14°, d 1.967, intensity 35
2θ = 63.92°, d 1.456, intensity 34